Ca5H2N2: calculated X-ray diffraction stick pattern (Cu Kα (λ = 1.5418 Å)), based on the GGA-PBE geometry in Alexandria.
Neutral-atom scattering factors, no anomalous dispersion.

Peak list (6 most intense, 2θ = 15–90°, in order of falling intensity)
| Position (°2θ) | d [Å] | I (rel.) |
| --- | --- | --- |
| 31.33 | 2.855 | 100 |
| 36.70 | 2.449 | 29 |
| 34.75 | 2.582 | 29 |
| 37.50 | 2.399 | 27 |
| 19.37 | 4.582 | 27 |
| 53.48 | 1.713 | 17 |

Lattice parameters (Å, degrees): 8.108 8.108 4.897 90.00 90.00 145.58
Fractional coordinates of all 9 atoms:
Ca  0.000  0.000  0.000
Ca  0.155  0.845  0.500
Ca  0.321  0.679  0.000
Ca  0.679  0.321  0.000
Ca  0.845  0.155  0.500
H  0.305  0.695  0.500
H  0.695  0.305  0.500
N  0.156  0.844  0.000
N  0.844  0.156  0.000